(1)
Structure and calculated X-ray powder pattern of CdI2 (a PBE-relaxed structure; CuKα).

The 6 most intense peaks (2θ from 10° to 90°), by angle:
2θ/deg	d [Å]	I (rel.)
11.60	7.631	91
26.45	3.370	100
29.56	3.021	61
37.99	2.369	43
41.65	2.168	69
65.13	1.432	27

Structure:
Cell: 4.3366 4.3366 122.1005 Å, 90.00 90.00 120.00°
Space group P3m1 (No. 156)
Unique sites:
Cd 0.0000 0.0000 0.0000 [1 per cell]
Cd 0.0000 0.0000 0.1250 [1 per cell]
Cd 0.0000 0.0000 0.2500 [1 per cell]
Cd 0.0000 0.0000 0.3750 [1 per cell]
Cd 0.0000 0.0000 0.5000 [1 per cell]
Cd 0.0000 0.0000 0.6250 [1 per cell]
Cd 0.0000 0.0000 0.7500 [1 per cell]
Cd 0.0000 0.0000 0.8750 [1 per cell]
Cd 0.3333 0.6667 0.0624 [1 per cell]
Cd 0.3333 0.6667 0.1874 [1 per cell]
Cd 0.3333 0.6667 0.3124 [1 per cell]
Cd 0.3333 0.6667 0.4374 [1 per cell]
Cd 0.3333 0.6667 0.5624 [1 per cell]
Cd 0.3333 0.6667 0.9375 [1 per cell]
Cd 0.6667 0.3333 0.6875 [1 per cell]
Cd 0.6667 0.3333 0.8125 [1 per cell]
I 0.0000 0.0000 0.0765 [1 per cell]
I 0.0000 0.0000 0.2015 [1 per cell]
I 0.0000 0.0000 0.3265 [1 per cell]
I 0.0000 0.0000 0.4515 [1 per cell]
I 0.0000 0.0000 0.5765 [1 per cell]
I 0.0000 0.0000 0.6734 [1 per cell]
I 0.0000 0.0000 0.7984 [1 per cell]
I 0.0000 0.0000 0.9515 [1 per cell]
I 0.3333 0.6667 0.0141 [1 per cell]
I 0.3333 0.6667 0.1391 [1 per cell]
I 0.3333 0.6667 0.2641 [1 per cell]
I 0.3333 0.6667 0.3891 [1 per cell]
I 0.3333 0.6667 0.5141 [1 per cell]
I 0.3333 0.6667 0.6391 [1 per cell]
I 0.3333 0.6667 0.7016 [1 per cell]
I 0.3333 0.6667 0.7641 [1 per cell]
I 0.3333 0.6667 0.8266 [1 per cell]
I 0.3333 0.6667 0.8891 [1 per cell]
I 0.6667 0.3333 0.0483 [1 per cell]
I 0.6667 0.3333 0.1109 [1 per cell]
I 0.6667 0.3333 0.1734 [1 per cell]
I 0.6667 0.3333 0.2359 [1 per cell]
I 0.6667 0.3333 0.2984 [1 per cell]
I 0.6667 0.3333 0.3609 [1 per cell]
I 0.6667 0.3333 0.4234 [1 per cell]
I 0.6667 0.3333 0.4859 [1 per cell]
I 0.6667 0.3333 0.5484 [1 per cell]
I 0.6667 0.3333 0.6109 [1 per cell]
I 0.6667 0.3333 0.7359 [1 per cell]
I 0.6667 0.3333 0.8609 [1 per cell]
I 0.6667 0.3333 0.9234 [1 per cell]
I 0.6667 0.3333 0.9859 [1 per cell]



(2)
Structure and calculated X-ray powder pattern of CdI2 (a PBE-relaxed structure; CuKα).

The 6 most intense peaks (2θ from 10° to 90°), by angle:
2θ/deg	d [Å]	I (rel.)
11.92	7.422	77
26.62	3.348	100
29.89	2.990	61
38.68	2.328	40
41.69	2.166	70
66.33	1.409	30

Structure:
Cell: 4.3325 4.3325 44.5307 Å, 90.00 90.00 120.00°
Space group P3m1 (No. 156)
Unique sites:
Cd 0.0000 0.0000 0.0000 [1 per cell]
Cd 0.0000 0.0000 0.3334 [1 per cell]
Cd 0.0000 0.0000 0.6667 [1 per cell]
Cd 0.3333 0.6667 0.1667 [1 per cell]
Cd 0.6667 0.3333 0.5001 [1 per cell]
Cd 0.6667 0.3333 0.8334 [1 per cell]
I 0.0000 0.0000 0.2054 [1 per cell]
I 0.0000 0.0000 0.4613 [1 per cell]
I 0.0000 0.0000 0.7946 [1 per cell]
I 0.3333 0.6667 0.0388 [1 per cell]
I 0.3333 0.6667 0.3722 [1 per cell]
I 0.3333 0.6667 0.5388 [1 per cell]
I 0.3333 0.6667 0.7055 [1 per cell]
I 0.3333 0.6667 0.8721 [1 per cell]
I 0.6667 0.3333 0.1279 [1 per cell]
I 0.6667 0.3333 0.2946 [1 per cell]
I 0.6667 0.3333 0.6280 [1 per cell]
I 0.6667 0.3333 0.9612 [1 per cell]



(3)
Structure and calculated X-ray powder pattern of CdI4N4 (a PBE-relaxed structure; CuKα).

The 6 most intense peaks (2θ from 10° to 90°), by angle:
2θ/deg	d [Å]	I (rel.)
18.99	4.672	100
20.90	4.251	39
27.25	3.273	38
27.74	3.216	46
34.01	2.636	45
43.95	2.060	34

Structure:
Cell: 10.821 9.345 6.307 Å, 90.00 104.63 90.00°
Space group C2/m (No. 12)
Unique sites:
Cd 0.000 0.000 0.000 [2 per cell]
I 0.090 0.500 0.703 [4 per cell]
I 0.200 0.000 0.804 [4 per cell]
N 0.111 0.189 0.257 [8 per cell]



(4)
Structure and calculated X-ray powder pattern of CdI3NO (a PBE-relaxed structure; CuKα).

The 6 most intense peaks (2θ from 10° to 90°), by angle:
2θ/deg	d [Å]	I (rel.)
10.11	8.746	100
11.82	7.486	54
22.05	4.030	46
23.00	3.867	57
29.31	3.047	61
40.09	2.249	31

Structure:
Cell: 7.070 8.284 17.491 Å, 90.00 90.00 90.00°
Space group Pmc2_1 (No. 26)
Unique sites:
Cd 0.000 0.210 0.000 [2 per cell]
Cd 0.500 0.220 0.002 [2 per cell]
I 0.000 0.076 0.855 [2 per cell]
I 0.000 0.454 0.513 [2 per cell]
I 0.250 0.048 0.105 [4 per cell]
I 0.500 0.092 0.855 [2 per cell]
I 0.500 0.450 0.526 [2 per cell]
N 0.249 0.305 0.372 [4 per cell]
O 0.087 0.450 0.727 [4 per cell]



(5)
Structure and calculated X-ray powder pattern of CdI2O6 (a PBE-relaxed structure; CuKα).

The 6 most intense peaks (2θ from 10° to 90°), by angle:
2θ/deg	d [Å]	I (rel.)
21.26	4.179	44
22.21	4.003	60
23.88	3.727	62
25.49	3.495	50
26.44	3.371	100
35.29	2.543	37

Structure:
Cell: 5.704 5.925 17.689 Å, 90.00 90.00 90.00°
Space group P2_12_12_1 (No. 19)
Unique sites:
Cd 0.209 0.172 0.094 [4 per cell]
I 0.031 0.863 0.923 [4 per cell]
I 0.245 0.715 0.292 [4 per cell]
O 0.017 0.033 0.207 [4 per cell]
O 0.046 0.480 0.837 [4 per cell]
O 0.046 0.606 0.516 [4 per cell]
O 0.110 0.494 0.661 [4 per cell]
O 0.138 0.874 0.376 [4 per cell]
O 0.217 0.183 0.546 [4 per cell]



(6)
Structure and calculated X-ray powder pattern of CdIO9 (a PBE-relaxed structure; CuKα).

The 6 most intense peaks (2θ from 10° to 90°), by angle:
2θ/deg	d [Å]	I (rel.)
12.17	7.271	24
19.02	4.667	100
24.21	3.676	40
24.49	3.635	29
28.86	3.094	31
38.33	2.348	35

Structure:
Cell: 5.602 13.198 9.781 Å, 90.00 117.04 90.00°
Space group P2_1/c (No. 14)
Unique sites:
Cd 0.207 0.072 0.317 [4 per cell]
I 0.227 0.249 0.572 [4 per cell]
O 0.004 0.210 0.367 [4 per cell]
O 0.024 0.132 0.056 [4 per cell]
O 0.025 0.168 0.637 [4 per cell]
O 0.221 0.012 0.741 [4 per cell]
O 0.298 0.515 0.059 [4 per cell]
O 0.384 0.549 0.722 [4 per cell]
O 0.422 0.155 0.015 [4 per cell]
O 0.461 0.207 0.273 [4 per cell]
O 0.473 0.146 0.578 [4 per cell]



(7)
Structure and calculated X-ray powder pattern of CdI2O7 (a PBE-relaxed structure; CuKα).

The 6 most intense peaks (2θ from 10° to 90°), by angle:
2θ/deg	d [Å]	I (rel.)
11.95	7.405	61
26.19	3.403	100
26.88	3.317	73
27.57	3.235	65
28.45	3.137	100
29.12	3.066	84

Structure:
Cell: 7.036 7.099 7.915 Å, 69.42 79.03 62.70°
Space group P-1 (No. 2)
Unique sites:
Cd 0.165 0.205 0.123 [2 per cell]
I 0.316 0.634 0.145 [2 per cell]
I 0.330 0.148 0.663 [2 per cell]
O 0.099 0.754 0.631 [2 per cell]
O 0.108 0.900 0.175 [2 per cell]
O 0.119 0.555 0.096 [2 per cell]
O 0.271 0.423 0.497 [2 per cell]
O 0.370 0.212 0.857 [2 per cell]
O 0.377 0.009 0.380 [2 per cell]
O 0.405 0.733 0.907 [2 per cell]